# 1
Simulated XRD peak list
Compound: CeNpNiN3
Radiation: copper Kα
Structure: a GGA-PBE-relaxed structure
Lines closer than 0.1° are merged.

Peak list (10 most intense, 2θ = 10–80°, sorted by position)
2θ 16.31, I 62
2θ 25.73, I 40
2θ 29.24, I 95
2θ 30.74, I 48
2θ 32.96, I 72
2θ 36.91, I 100
2θ 37.04, I 44
2θ 37.56, I 40
2θ 39.02, I 31
2θ 50.92, I 29

```
CeNpNiN3
1.0
7.0431 0.0000 0.0000
0.0000 3.4028 0.0000
-1.2940 0.0000 6.9739
Ce Np Ni N
2 2 2 6
Direct
0.2121 0.2500 0.1699 Ce
0.7879 0.7500 0.8301 Ce
0.1809 0.2500 0.6574 Np
0.8191 0.7500 0.3426 Np
0.4146 0.7500 0.9014 Ni
0.5854 0.2500 0.0986 Ni
0.1300 0.7500 0.8727 N
0.1378 0.7500 0.4250 N
0.4969 0.7500 0.1977 N
0.5031 0.2500 0.8023 N
0.8622 0.2500 0.5750 N
0.8700 0.2500 0.1273 N
```

# 2
Simulated XRD peak list
Compound: NaLa2Br6
Radiation: copper Kα
Structure: a GGA-PBE-relaxed structure
Lines closer than 0.1° are merged.

Peak list (10 most intense, 2θ = 10–80°, sorted by position)
2θ 14.09, I 32
2θ 17.38, I 77
2θ 27.24, I 100
2θ 27.64, I 26
2θ 34.86, I 78
2θ 35.18, I 53
2θ 43.18, I 54
2θ 45.06, I 26
2θ 56.20, I 24
2θ 74.18, I 25

```
NaLa2Br6
1.0
7.2154 0.0000 0.0000
0.0000 7.2154 0.0000
0.0000 0.0000 12.8018
Na La Br
2 4 12
Direct
0.0000 0.0000 0.0000 Na
0.5000 0.5000 0.5000 Na
0.0000 0.0000 0.3470 La
0.0000 0.0000 0.6530 La
0.5000 0.5000 0.1530 La
0.5000 0.5000 0.8470 La
0.2040 0.2040 0.1713 Br
0.2040 0.2040 0.8287 Br
0.2167 0.2167 0.5000 Br
0.2833 0.7167 0.0000 Br
0.2960 0.7040 0.3287 Br
0.2960 0.7040 0.6713 Br
0.7040 0.2960 0.3287 Br
0.7040 0.2960 0.6713 Br
0.7167 0.2833 0.0000 Br
0.7833 0.7833 0.5000 Br
0.7960 0.7960 0.1713 Br
0.7960 0.7960 0.8287 Br
```

# 3
Simulated XRD peak list
Compound: TbGa2Au5
Radiation: copper Kα
Structure: a GGA-PBE-relaxed structure
Lines closer than 0.1° are merged.

Peak list (10 most intense, 2θ = 10–80°, sorted by position)
2θ 33.99, I 58
2θ 34.54, I 100
2θ 40.22, I 66
2θ 47.54, I 20
2θ 47.90, I 18
2θ 48.47, I 21
2θ 60.03, I 19
2θ 64.75, I 33
2θ 68.80, I 15
2θ 70.52, I 11

```
TbGa2Au5
1.0
-1.8782 3.7982 5.5556
1.8782 -3.7982 5.5556
1.8782 3.7982 -5.5556
Tb Ga Au
1 2 5
Direct
0.0000 0.0000 0.0000 Tb
0.2614 0.7614 0.5000 Ga
0.7386 0.2386 0.5000 Ga
0.1418 0.3699 0.7719 Au
0.4021 0.6301 0.7719 Au
0.5000 0.0000 0.5000 Au
0.5979 0.3699 0.2281 Au
0.8582 0.6301 0.2281 Au
```

What did the third record say?
Simulated XRD peak list
Compound: TbGa2Au5
Radiation: copper Kα
Structure: a GGA-PBE-relaxed structure
Lines closer than 0.1° are merged.

Peak list (10 most intense, 2θ = 10–80°, sorted by position)
2θ 33.99, I 58
2θ 34.54, I 100
2θ 40.22, I 66
2θ 47.54, I 20
2θ 47.90, I 18
2θ 48.47, I 21
2θ 60.03, I 19
2θ 64.75, I 33
2θ 68.80, I 15
2θ 70.52, I 11

```
TbGa2Au5
1.0
-1.8782 3.7982 5.5556
1.8782 -3.7982 5.5556
1.8782 3.7982 -5.5556
Tb Ga Au
1 2 5
Direct
0.0000 0.0000 0.0000 Tb
0.2614 0.7614 0.5000 Ga
0.7386 0.2386 0.5000 Ga
0.1418 0.3699 0.7719 Au
0.4021 0.6301 0.7719 Au
0.5000 0.0000 0.5000 Au
0.5979 0.3699 0.2281 Au
0.8582 0.6301 0.2281 Au
```